No. 1
Computed PXRD pattern of Cs3Cd2I7 for Cu Kα (λ = 1.5418 Å), from a GGA-PBE-relaxed structure.

Structure:
```
data_Cs3Cd2I7
_chemical_formula_sum 'Cs6 Cd4 I14'
_space_group_name_H-M_alt 'C m m m'
_space_group_IT_number 65
_space_group_name_Hall '-C 2 2'
_cell_length_a 6.1228
_cell_length_b 30.6028
_cell_length_c 6.0138
_cell_angle_alpha 90.00
_cell_angle_beta 90.00
_cell_angle_gamma 90.00
loop_
_atom_site_label
_atom_site_fract_x
_atom_site_fract_y
_atom_site_fract_z
_atom_site_occupancy
Cs1 0.0000 0.0000 0.0000 1
Cs2 0.0000 0.1771 0.0000 1
Cd1 0.0000 0.3985 0.5000 1
I1 0.0000 0.0936 0.5000 1
I2 0.0000 0.3035 0.5000 1
I3 0.0000 0.4060 0.0000 1
I4 0.0000 0.5000 0.5000 1
```

Peak list (12 most intense, 2θ from 5° to 70°, most intense first)
h k l  2theta  d [Å]  I_rel
1 5 1  25.35  3.513  100
2 0 0  29.17  3.061  78
2 0 2  42.13  2.145  51
0 0 2  29.71  3.007  41
2 10 2  52.06  1.757  22
2 10 0  41.73  2.164  21
3 5 1  49.46  1.843  21
0 2 0  5.78  15.301  18
1 5 3  50.15  1.819  15
0 4 0  11.57  7.651  15
2 0 4  69.68  1.349  12
3 5 3  67.24  1.392  10

***

No. 2
Computed PXRD pattern of Cs4CdI6 for Cu Kα (λ = 1.5418 Å), from a GGA-PBE-relaxed structure.

Structure:
```
data_Cs4CdI6
_chemical_formula_sum 'Cs16 Cd4 I24'
_space_group_name_H-M_alt 'C 1 c 1'
_space_group_IT_number 9
_cell_length_a 18.9726
_cell_length_b 9.7050
_cell_length_c 17.7013
_cell_angle_alpha 90.00
_cell_angle_beta 115.03
_cell_angle_gamma 90.00
loop_
_space_group_symop_operation_xyz
'x,y,z'
'x,-y,z+1/2'
'x+1/2,y+1/2,z'
'x+1/2,-y+1/2,z+1/2'
loop_
_atom_site_label
_atom_site_fract_x
_atom_site_fract_y
_atom_site_fract_z
_atom_site_occupancy
Cs1 0.0000 0.1351 0.0000 1
Cs2 0.1504 0.3447 0.4797 1
Cs3 0.2661 0.2169 0.8309 1
Cs4 0.4293 0.1479 0.1777 1
Cd1 0.2177 0.2516 0.2418 1
I1 0.0637 0.3053 0.2184 1
I2 0.1004 0.3023 0.8835 1
I3 0.2205 0.0217 0.1406 1
I4 0.2963 0.4685 0.2027 1
I5 0.3015 0.1712 0.4116 1
I6 0.4676 0.2568 0.9979 1
```

Peak list (12 most intense, 2θ from 5° to 70°, most intense first)
h k l  2theta  d [Å]  I_rel
1 1 3  21.42  4.148  100
1 1 5  31.80  2.814  66
3 1 -2  17.33  5.116  64
2 2 -2  21.64  4.107  50
6 0 -2  28.30  3.154  46
4 2 -4  29.58  3.020  45
0 2 0  18.28  4.853  43
6 2 -2  33.90  2.644  41
4 0 -6  31.05  2.880  40
2 0 2  18.03  4.919  39
3 3 -2  31.39  2.850  34
0 0 4  22.17  4.010  32

***

No. 3
Computed PXRD pattern of Cs3CdI5 for Cu Kα (λ = 1.5418 Å), from a GGA-PBE-relaxed structure.

Structure:
```
data_Cs3CdI5
_chemical_formula_sum 'Cs12 Cd4 I20'
_space_group_name_H-M_alt 'I 4/m c m'
_space_group_IT_number 140
_space_group_name_Hall '-I 4 2c'
_cell_length_a 10.4656
_cell_length_b 10.4656
_cell_length_c 17.1612
_cell_angle_alpha 90.00
_cell_angle_beta 90.00
_cell_angle_gamma 90.00
loop_
_atom_site_label
_atom_site_fract_x
_atom_site_fract_y
_atom_site_fract_z
_atom_site_occupancy
Cs1 0.0000 0.0000 0.2500 1
Cs2 0.1569 0.3431 0.0000 1
Cd1 0.0000 0.5000 0.2500 1
I1 0.0000 0.0000 0.0000 1
I2 0.1503 0.3497 0.3504 1
```

Peak list (12 most intense, 2θ from 5° to 70°, most intense first)
h k l  2theta  d [Å]  I_rel
2 1 3  24.58  3.622  100
3 1 0  26.92  3.312  59
2 2 0  24.03  3.703  24
5 2 3  49.54  1.840  21
3 1 6  41.74  2.164  17
4 2 0  38.47  2.340  15
4 1 3  38.81  2.320  14
4 0 4  40.38  2.234  11
2 2 4  31.94  2.802  11
4 0 6  47.07  1.931  10
6 0 0  52.46  1.744  10
3 3 0  36.42  2.467  9

***

No. 4
Computed PXRD pattern of CsLi2Cd2I7 for Cu Kα (λ = 1.5418 Å), from a GGA-PBE-relaxed structure.

Structure:
```
data_CsLi2Cd2I7
_chemical_formula_sum 'Cs3 Li6 Cd6 I21'
_space_group_name_H-M_alt 'R 3 2'
_space_group_IT_number 155
_space_group_name_Hall 'R 3 2"'
_cell_length_a 8.0554
_cell_length_b 8.0554
_cell_length_c 39.0152
_cell_angle_alpha 90.00
_cell_angle_beta 90.00
_cell_angle_gamma 120.00
loop_
_atom_site_label
_atom_site_fract_x
_atom_site_fract_y
_atom_site_fract_z
_atom_site_occupancy
Cs1 0.0000 0.0000 0.0000 1
Li1 0.0000 0.0000 0.2493 1
Cd1 0.0000 0.0000 0.4259 1
I1 0.0000 0.0000 0.5000 1
I2 0.0014 0.3313 0.7394 1
```

Peak list (12 most intense, 2θ from 5° to 70°, most intense first)
h k l  2theta  d [Å]  I_rel
1 1 6  26.01  3.425  100
0 0 6  13.62  6.503  59
1 1 0  22.07  4.028  57
0 1 2  13.48  6.569  56
1 1 15  41.28  2.187  51
3 0 0  38.72  2.325  46
1 1 9  30.28  2.951  32
3 0 12  48.11  1.891  29
0 0 12  27.43  3.251  23
2 2 6  47.24  1.924  21
1 1 12  35.48  2.530  18
1 0 1  12.89  6.867  17

***

No. 5
Computed PXRD pattern of Cs2PmCdI6 for Cu Kα (λ = 1.5418 Å), from a GGA-PBE-relaxed structure.

Structure:
```
data_Cs2PmCdI6
_chemical_formula_sum 'Cs4 Pm2 Cd2 I12'
_space_group_name_H-M_alt 'I m m m'
_space_group_IT_number 71
_space_group_name_Hall '-I 2 2'
_cell_length_a 8.9231
_cell_length_b 8.9257
_cell_length_c 12.5938
_cell_angle_alpha 90.00
_cell_angle_beta 90.00
_cell_angle_gamma 90.00
loop_
_atom_site_label
_atom_site_fract_x
_atom_site_fract_y
_atom_site_fract_z
_atom_site_occupancy
Cs1 0.0000 0.0000 0.2493 1
Pm1 0.0000 0.5000 0.5000 1
Cd1 0.0000 0.5000 0.0000 1
I1 0.0000 0.5000 0.2538 1
I2 0.2459 0.2546 0.5000 1
```

Peak list (12 most intense, 2θ from 5° to 70°, most intense first)
h k l  2theta  d [Å]  I_rel
2 2 0  28.31  3.153  100
4 0 0  40.46  2.229  75
2 0 2  24.45  3.641  67
4 2 2  47.84  1.901  32
4 0 4  50.11  1.820  27
6 2 0  66.25  1.411  23
2 0 0  19.91  4.459  21
1 1 0  14.04  6.306  21
6 0 2  64.40  1.447  13
1 1 4  31.73  2.820  12
2 2 8  66.36  1.409  11
2 0 4  34.85  2.574  10

***

No. 6
Computed PXRD pattern of CsSrCdI5 for Cu Kα (λ = 1.5418 Å), from a GGA-PBE-relaxed structure.

Structure:
```
data_CsSrCdI5
_chemical_formula_sum 'Cs4 Sr4 Cd4 I20'
_space_group_name_H-M_alt 'C 1 2/c 1'
_space_group_IT_number 15
_cell_length_a 10.9187
_cell_length_b 14.3911
_cell_length_c 11.8037
_cell_angle_alpha 90.00
_cell_angle_beta 114.60
_cell_angle_gamma 90.00
loop_
_space_group_symop_operation_xyz
'x,y,z'
'-x,-y,-z'
'-x,y,-z+1/2'
'x,-y,z+1/2'
'x+1/2,y+1/2,z'
'-x+1/2,-y+1/2,-z'
'-x+1/2,y+1/2,-z+1/2'
'x+1/2,-y+1/2,z+1/2'
loop_
_atom_site_label
_atom_site_fract_x
_atom_site_fract_y
_atom_site_fract_z
_atom_site_occupancy
Cs1 0.0000 0.1508 0.2500 1
Sr1 0.0000 0.5000 0.0000 1
Cd1 0.0000 0.1848 0.7500 1
I1 0.0000 0.4141 0.2500 1
I2 0.1168 0.2886 0.6159 1
I3 0.1842 0.0681 0.9412 1
```

Peak list (12 most intense, 2θ from 5° to 70°, most intense first)
h k l  2theta  d [Å]  I_rel
1 3 1  23.53  3.781  100
4 0 -4  37.76  2.382  28
0 2 2  20.62  4.307  26
3 1 -1  25.41  3.505  25
1 1 -2  16.36  5.417  25
3 3 0  32.88  2.724  22
2 4 -2  31.15  2.871  21
2 0 0  17.87  4.964  21
3 1 -2  25.83  3.449  18
2 0 2  29.15  3.063  18
2 2 -1  20.44  4.346  17
1 7 2  49.70  1.835  16

***

No. 7
Computed PXRD pattern of Cs2CdTeI6 for Cu Kα (λ = 1.5418 Å), from a GGA-PBE-relaxed structure.

Structure:
```
data_Cs2CdTeI6
_chemical_formula_sum 'Cs4 Cd2 Te2 I12'
_space_group_name_H-M_alt 'I 4/m m m'
_space_group_IT_number 139
_space_group_name_Hall '-I 4 2'
_cell_length_a 8.7346
_cell_length_b 8.7346
_cell_length_c 12.3408
_cell_angle_alpha 90.00
_cell_angle_beta 90.00
_cell_angle_gamma 90.00
loop_
_atom_site_label
_atom_site_fract_x
_atom_site_fract_y
_atom_site_fract_z
_atom_site_occupancy
Cs1 0.0000 0.5000 0.2500 1
Cd1 0.0000 0.0000 0.0000 1
Te1 0.0000 0.0000 0.5000 1
I1 0.0000 0.0000 0.2583 1
I2 0.2423 0.2423 0.0000 1
```

Peak list (12 most intense, 2θ from 5° to 70°, most intense first)
h k l  2theta  d [Å]  I_rel
2 2 0  28.92  3.087  100
4 0 0  41.36  2.183  74
2 0 2  24.98  3.565  74
4 2 2  48.93  1.862  34
6 2 0  67.89  1.381  33
4 0 4  51.26  1.782  26
2 0 0  20.34  4.366  19
1 1 0  14.35  6.174  19
6 0 2  65.95  1.416  14
4 4 0  59.93  1.544  12
3 1 0  32.42  2.761  10
3 1 2  35.62  2.521  9

***

No. 8
Computed PXRD pattern of Cs2YCdI6 for Cu Kα (λ = 1.5418 Å), from a GGA-PBE-relaxed structure.

Structure:
```
data_Cs2YCdI6
_chemical_formula_sum 'Cs4 Y2 Cd2 I12'
_space_group_name_H-M_alt 'I 4/m m m'
_space_group_IT_number 139
_space_group_name_Hall '-I 4 2'
_cell_length_a 8.8387
_cell_length_b 8.8387
_cell_length_c 12.4709
_cell_angle_alpha 90.00
_cell_angle_beta 90.00
_cell_angle_gamma 90.00
loop_
_atom_site_label
_atom_site_fract_x
_atom_site_fract_y
_atom_site_fract_z
_atom_site_occupancy
Cs1 0.0000 0.5000 0.2500 1
Y1 0.0000 0.0000 0.0000 1
Cd1 0.0000 0.0000 0.5000 1
I1 0.0000 0.0000 0.2438 1
I2 0.2431 0.2431 0.0000 1
```

Peak list (12 most intense, 2θ from 5° to 70°, most intense first)
h k l  2theta  d [Å]  I_rel
2 2 0  28.59  3.123  100
2 0 2  24.69  3.606  85
4 0 0  40.87  2.208  75
2 0 6  48.34  1.883  40
4 0 4  50.63  1.803  26
6 2 0  66.98  1.397  22
4 2 6  65.11  1.433  16
2 0 0  20.11  4.416  15
1 1 0  14.18  6.245  14
2 2 8  67.10  1.395  11
4 4 0  59.13  1.562  8
1 1 4  32.05  2.793  8

***

No. 9
Computed PXRD pattern of Cs4CdIn4 for Cu Kα (λ = 1.5418 Å), from a GGA-PBE-relaxed structure.

Structure:
```
data_Cs4CdIn4
_chemical_formula_sum 'Cs8 Cd2 In8'
_space_group_name_H-M_alt 'I -4 2 m'
_space_group_IT_number 121
_space_group_name_Hall 'I -4 2'
_cell_length_a 7.9099
_cell_length_b 7.9099
_cell_length_c 16.9057
_cell_angle_alpha 90.00
_cell_angle_beta 90.00
_cell_angle_gamma 90.00
loop_
_atom_site_label
_atom_site_fract_x
_atom_site_fract_y
_atom_site_fract_z
_atom_site_occupancy
Cs1 0.1820 0.1820 0.3719 1
Cd1 0.0000 0.0000 0.0000 1
In1 0.1419 0.1419 0.1421 1
```

Peak list (12 most intense, 2θ from 5° to 70°, most intense first)
h k l  2theta  d [Å]  I_rel
2 1 1  25.73  3.462  100
2 1 5  36.77  2.444  48
0 0 4  21.02  4.226  44
1 1 0  15.84  5.593  38
2 1 3  29.82  2.996  35
2 0 4  30.97  2.888  29
3 1 4  41.97  2.153  27
1 0 1  12.35  7.164  19
2 1 9  55.38  1.659  17
3 3 0  48.85  1.864  15
3 1 2  37.50  2.399  14
4 1 3  50.24  1.816  12

***

No. 10
Computed PXRD pattern of Cs3Cd4In for Cu Kα (λ = 1.5418 Å), from a GGA-PBE-relaxed structure.

Structure:
```
data_Cs3Cd4In
_chemical_formula_sum 'Cs6 Cd8 In2'
_space_group_name_H-M_alt 'C 1 2 1'
_space_group_IT_number 5
_cell_length_a 13.1395
_cell_length_b 7.5521
_cell_length_c 7.7099
_cell_angle_alpha 90.00
_cell_angle_beta 118.79
_cell_angle_gamma 90.00
loop_
_space_group_symop_operation_xyz
'x,y,z'
'-x,y,-z'
'x+1/2,y+1/2,z'
'-x+1/2,y+1/2,-z'
loop_
_atom_site_label
_atom_site_fract_x
_atom_site_fract_y
_atom_site_fract_z
_atom_site_occupancy
Cs1 0.0000 0.0000 0.0000 1
Cs2 0.1923 0.2274 0.5874 1
Cd1 0.0647 0.5060 0.8864 1
Cd2 0.2268 0.7850 0.8511 1
In1 0.0000 0.7075 0.5000 1
```

Peak list (12 most intense, 2θ from 5° to 70°, most intense first)
h k l  2theta  d [Å]  I_rel
3 1 -2  28.04  3.182  100
2 2 0  28.26  3.158  85
0 2 1  27.05  3.296  76
3 1 -1  23.57  3.775  72
1 1 -2  26.42  3.374  62
1 1 2  33.22  2.697  40
3 1 1  34.08  2.631  33
2 0 1  24.68  3.608  31
0 4 0  48.23  1.887  30
2 2 -1  27.85  3.204  29
3 3 -2  44.28  2.045  27
3 1 -3  37.19  2.417  23

***

No. 11
Computed PXRD pattern of Cs2Cd3In for Cu Kα (λ = 1.5418 Å), from a GGA-PBE-relaxed structure.

Structure:
```
data_Cs2Cd3In
_chemical_formula_sum 'Cs8 Cd12 In4'
_space_group_name_H-M_alt 'C 1 2/c 1'
_space_group_IT_number 15
_cell_length_a 11.5402
_cell_length_b 9.9680
_cell_length_c 8.7083
_cell_angle_alpha 90.00
_cell_angle_beta 92.24
_cell_angle_gamma 90.00
loop_
_space_group_symop_operation_xyz
'x,y,z'
'-x,-y,-z'
'-x,y,-z+1/2'
'x,-y,z+1/2'
'x+1/2,y+1/2,z'
'-x+1/2,-y+1/2,-z'
'-x+1/2,y+1/2,-z+1/2'
'x+1/2,-y+1/2,z+1/2'
loop_
_atom_site_label
_atom_site_fract_x
_atom_site_fract_y
_atom_site_fract_z
_atom_site_occupancy
Cs1 0.1692 0.1051 0.1286 1
Cd1 0.0000 0.2201 0.7500 1
Cd2 0.1311 0.3262 0.4973 1
In1 0.0000 0.4717 0.2500 1
```

Peak list (12 most intense, 2θ from 5° to 70°, most intense first)
h k l  2theta  d [Å]  I_rel
2 2 -1  25.51  3.492  100
3 1 1  27.23  3.275  44
1 3 1  29.91  2.987  42
2 0 2  26.14  3.410  37
4 0 -2  36.72  2.448  34
1 1 -3  32.80  2.731  32
1 3 2  35.04  2.561  28
6 0 0  47.27  1.923  19
3 1 0  24.83  3.586  19
1 1 -2  23.34  3.811  19
0 2 3  35.77  2.510  18
4 2 1  37.84  2.378  16

***

No. 12
Computed PXRD pattern of Cs3Cd3In2 for Cu Kα (λ = 1.5418 Å), from a GGA-PBE-relaxed structure.

Structure:
```
data_Cs3Cd3In2
_chemical_formula_sum 'Cs12 Cd12 In8'
_space_group_name_H-M_alt 'C m c m'
_space_group_IT_number 63
_space_group_name_Hall '-C 2c 2'
_cell_length_a 5.2737
_cell_length_b 14.4165
_cell_length_c 18.7226
_cell_angle_alpha 90.00
_cell_angle_beta 90.00
_cell_angle_gamma 90.00
loop_
_atom_site_label
_atom_site_fract_x
_atom_site_fract_y
_atom_site_fract_z
_atom_site_occupancy
Cs1 0.0000 0.0648 0.1030 1
Cs2 0.0000 0.3913 0.2500 1
Cd1 0.0000 0.3079 0.7500 1
Cd2 0.0000 0.3204 0.0374 1
In1 0.0000 0.2219 0.6050 1
```

Peak list (12 most intense, 2θ from 5° to 70°, most intense first)
h k l  2theta  d [Å]  I_rel
0 4 3  28.60  3.121  100
1 3 1  25.52  3.490  76
1 1 4  26.20  3.402  76
2 4 3  45.01  2.014  57
1 3 7  42.30  2.137  55
2 0 0  34.00  2.637  48
0 2 0  12.28  7.208  34
1 3 0  25.08  3.550  32
1 3 4  31.62  2.830  25
1 1 7  38.24  2.353  19
1 1 10  52.24  1.751  18
1 7 3  49.72  1.834  17